Structure and simulated XRD peak list of TiNi2GeO6 (a structure optimized by DFT (GGA+U); CuKα).

Peak list (10 most intense, 10° ≤ 2θ ≤ 90°, by angle)
hkl, d/Å, Rel. int.
0 0 1, 4.633, 44.8
1 1 1, 2.871, 100.0
2 0 0, 2.586, 38.1
1 1 2, 1.957, 35.1
2 2 0, 1.829, 31.3
2 0 2, 1.726, 12.5
0 0 3, 1.543, 31.8
3 1 2, 1.336, 18.0
2 0 3, 1.326, 17.5
2 2 3, 1.179, 11.5

Atomic structure:
```
data_TiNi2GeO6
_chemical_formula_sum 'Ti1 Ni2 Ge1 O6'
_symmetry_space_group_name_H-M 'P 4 m m'
_symmetry_Int_Tables_number 99
_cell_length_a 5.1721
_cell_length_b 5.1721
_cell_length_c 4.6333
_cell_angle_alpha 90.00
_cell_angle_beta 90.00
_cell_angle_gamma 90.00
loop_
_symmetry_equiv_pos_as_xyz
'x,y,z'
'-y,x,z'
'-x,-y,z'
'y,-x,z'
'-x,y,z'
'y,x,z'
'x,-y,z'
'-y,-x,z'
loop_
_atom_site_label
_atom_site_type_symbol
_atom_site_fract_x
_atom_site_fract_y
_atom_site_fract_z
Ti1 Ti 0.0000 0.0000 0.0000
Ni1 Ni 0.0000 0.5000 0.3379
Ge1 Ge 0.5000 0.5000 0.9939
O1 O 0.0000 0.0000 0.6340
O2 O 0.2566 0.2566 0.1420
O3 O 0.5000 0.5000 0.6228
```